1.
Ac2TmCdTe5: theoretical powder X-ray diffraction pattern (Cu Kα (λ = 1.5418 Å)), based on DFT lattice parameters and positions (PBE).
Kinematic intensities with the Lorentz-polarization factor, no thermal factor.

Main lines, sorted by position (2θ from 10° to 80°):
2θ 24.06, d = 3.698 Å, rel. 24.6
2θ 27.98, d = 3.189 Å, rel. 48.2
2θ 28.20, d = 3.165 Å, rel. 100.0
2θ 30.19, d = 2.960 Å, rel. 17.2
2θ 32.95, d = 2.718 Å, rel. 46.3
2θ 36.14, d = 2.485 Å, rel. 22.3
2θ 40.09, d = 2.249 Å, rel. 42.0
2θ 49.61, d = 1.837 Å, rel. 19.9

Structure:
Unit cell a=10.089 b=10.089 c=13.720 alpha=90.00 beta=90.00 gamma=154.25
Fractional positions:
Ac (0.117, 0.883, 0.500)
Ac (0.132, 0.868, 0.124)
Ac (0.868, 0.132, 0.624)
Ac (0.883, 0.117, 0.000)
Tm (0.199, 0.801, 0.828)
Tm (0.801, 0.199, 0.328)
Cd (0.442, 0.558, 0.268)
Cd (0.558, 0.442, 0.768)
Te (0.048, 0.952, 0.887)
Te (0.288, 0.712, 0.479)
Te (0.307, 0.693, 0.169)
Te (0.355, 0.645, 0.816)
Te (0.496, 0.504, 0.587)
Te (0.504, 0.496, 0.087)
Te (0.645, 0.355, 0.316)
Te (0.693, 0.307, 0.669)
Te (0.712, 0.288, 0.979)
Te (0.952, 0.048, 0.387)

2.
LaPaAsC: theoretical powder X-ray diffraction pattern (Cu Kα (λ = 1.5418 Å)), based on DFT lattice parameters and positions (PBE).
Kinematic intensities with the Lorentz-polarization factor, no thermal factor.

Main lines, sorted by position (2θ from 10° to 80°):
2θ 25.64, d = 3.474 Å, rel. 27.9
2θ 26.65, d = 3.345 Å, rel. 25.7
2θ 27.43, d = 3.252 Å, rel. 20.5
2θ 29.41, d = 3.037 Å, rel. 100.0
2θ 34.74, d = 2.582 Å, rel. 18.5
2θ 39.62, d = 2.275 Å, rel. 27.5
2θ 44.43, d = 2.039 Å, rel. 40.5
2θ 54.18, d = 1.693 Å, rel. 18.5

Structure:
Unit cell a=14.075 b=14.075 c=14.075 alpha=16.66 beta=16.66 gamma=16.66
Fractional positions:
La (0.211, 0.211, 0.211)
La (0.789, 0.789, 0.789)
Pa (0.367, 0.367, 0.367)
Pa (0.633, 0.633, 0.633)
As (0.082, 0.082, 0.082)
As (0.918, 0.918, 0.918)
C (0.312, 0.312, 0.312)
C (0.688, 0.688, 0.688)

3.
HoAlSi2: theoretical powder X-ray diffraction pattern (Cu Kα (λ = 1.5418 Å)), based on DFT lattice parameters and positions (PBE).
Kinematic intensities with the Lorentz-polarization factor, no thermal factor.

Main lines, sorted by position (2θ from 10° to 80°):
2θ 10.48, d = 8.442 Å, rel. 30.4
2θ 21.05, d = 4.221 Å, rel. 63.6
2θ 23.88, d = 3.726 Å, rel. 40.2
2θ 30.19, d = 2.960 Å, rel. 54.2
2θ 32.99, d = 2.715 Å, rel. 35.5
2θ 35.20, d = 2.549 Å, rel. 73.6
2θ 35.38, d = 2.537 Å, rel. 100.0
2θ 43.60, d = 2.076 Å, rel. 37.7

Structure:
Unit cell a=12.821 b=4.152 c=11.217 alpha=90.00 beta=90.00 gamma=90.00
Fractional positions:
Ho (0.051, 0.250, 0.227)
Ho (0.200, 0.750, 0.964)
Ho (0.300, 0.250, 0.464)
Ho (0.449, 0.750, 0.727)
Ho (0.551, 0.250, 0.273)
Ho (0.700, 0.750, 0.536)
Ho (0.800, 0.250, 0.036)
Ho (0.949, 0.750, 0.773)
Al (0.065, 0.250, 0.552)
Al (0.190, 0.750, 0.654)
Al (0.310, 0.250, 0.154)
Al (0.435, 0.750, 0.052)
Al (0.565, 0.250, 0.948)
Al (0.690, 0.750, 0.846)
Al (0.810, 0.250, 0.346)
Al (0.935, 0.750, 0.448)
Si (0.029, 0.250, 0.964)
Si (0.109, 0.250, 0.779)
Si (0.131, 0.750, 0.427)
Si (0.210, 0.750, 0.229)
Si (0.290, 0.250, 0.729)
Si (0.369, 0.250, 0.927)
Si (0.391, 0.750, 0.279)
Si (0.471, 0.750, 0.464)
Si (0.529, 0.250, 0.536)
Si (0.609, 0.250, 0.721)
Si (0.631, 0.750, 0.073)
Si (0.710, 0.750, 0.271)
Si (0.790, 0.250, 0.771)
Si (0.869, 0.250, 0.573)
Si (0.891, 0.750, 0.221)
Si (0.971, 0.750, 0.036)

4.
MnNb3S8: theoretical powder X-ray diffraction pattern (Cu Kα (λ = 1.5418 Å)), based on DFT lattice parameters and positions (PBE).
Kinematic intensities with the Lorentz-polarization factor, no thermal factor.

Main lines, sorted by position (2θ from 10° to 80°):
2θ 15.37, d = 5.764 Å, rel. 67.0
2θ 16.76, d = 5.289 Å, rel. 63.4
2θ 30.28, d = 2.952 Å, rel. 38.1
2θ 31.04, d = 2.881 Å, rel. 44.0
2θ 33.90, d = 2.644 Å, rel. 67.5
2θ 38.25, d = 2.353 Å, rel. 100.0
2θ 50.04, d = 1.823 Å, rel. 47.2
2θ 53.32, d = 1.718 Å, rel. 53.6

Structure:
Unit cell a=6.873 b=6.873 c=11.528 alpha=90.00 beta=90.00 gamma=120.00
Fractional positions:
Mn (0.333, 0.667, 0.000)
Mn (0.667, 0.333, 0.500)
Nb (0.165, 0.329, 0.749)
Nb (0.165, 0.835, 0.749)
Nb (0.329, 0.165, 0.249)
Nb (0.671, 0.835, 0.749)
Nb (0.835, 0.165, 0.249)
Nb (0.835, 0.671, 0.249)
S (0.000, 0.000, 0.382)
S (0.000, 0.000, 0.882)
S (0.010, 0.505, 0.887)
S (0.174, 0.347, 0.132)
S (0.174, 0.826, 0.132)
S (0.333, 0.667, 0.621)
S (0.347, 0.174, 0.632)
S (0.495, 0.505, 0.887)
S (0.495, 0.990, 0.887)
S (0.505, 0.010, 0.387)
S (0.505, 0.495, 0.387)
S (0.653, 0.826, 0.132)
S (0.667, 0.333, 0.121)
S (0.826, 0.174, 0.632)
S (0.826, 0.653, 0.632)
S (0.990, 0.495, 0.387)

5.
Nd5DyEr5: theoretical powder X-ray diffraction pattern (Cu Kα (λ = 1.5418 Å)), based on DFT lattice parameters and positions (PBE).
Kinematic intensities with the Lorentz-polarization factor, no thermal factor.

Main lines, sorted by position (2θ from 10° to 80°):
2θ 27.28, d = 3.269 Å, rel. 21.4
2θ 28.35, d = 3.148 Å, rel. 15.8
2θ 29.47, d = 3.031 Å, rel. 18.7
2θ 29.93, d = 2.986 Å, rel. 75.1
2θ 30.49, d = 2.932 Å, rel. 31.6
2θ 33.26, d = 2.694 Å, rel. 100.0
2θ 43.25, d = 2.092 Å, rel. 24.4
2θ 55.29, d = 1.661 Å, rel. 23.7

Structure:
Unit cell a=9.926 b=9.926 c=7.042 alpha=110.63 beta=110.63 gamma=35.00
Fractional positions:
Nd (0.000, 0.000, 0.000)
Nd (0.324, 0.324, 0.068)
Nd (0.324, 0.324, 0.579)
Nd (0.676, 0.676, 0.421)
Nd (0.676, 0.676, 0.932)
Dy (0.500, 0.500, 0.000)
Er (0.122, 0.122, 0.623)
Er (0.169, 0.169, 0.170)
Er (0.500, 0.500, 0.500)
Er (0.831, 0.831, 0.830)
Er (0.878, 0.878, 0.377)

6.
PmYGa2Au2: theoretical powder X-ray diffraction pattern (Cu Kα (λ = 1.5418 Å)), based on DFT lattice parameters and positions (PBE).
Kinematic intensities with the Lorentz-polarization factor, no thermal factor.

Main lines, sorted by position (2θ from 10° to 80°):
2θ 25.67, d = 3.471 Å, rel. 38.9
2θ 33.45, d = 2.679 Å, rel. 100.0
2θ 39.56, d = 2.278 Å, rel. 75.1
2θ 47.03, d = 1.932 Å, rel. 13.6
2θ 52.75, d = 1.735 Å, rel. 27.4
2θ 65.56, d = 1.424 Å, rel. 31.1
2θ 67.89, d = 1.381 Å, rel. 25.6
2θ 71.76, d = 1.315 Å, rel. 13.0

Structure:
Unit cell a=4.557 b=4.557 c=7.296 alpha=90.00 beta=90.00 gamma=120.00
Fractional positions:
Pm (0.000, 0.000, 0.000)
Y (0.000, 0.000, 0.500)
Ga (0.333, 0.667, 0.739)
Ga (0.667, 0.333, 0.261)
Au (0.333, 0.667, 0.264)
Au (0.667, 0.333, 0.736)

7.
SrSn2Cl6O5: theoretical powder X-ray diffraction pattern (Cu Kα (λ = 1.5418 Å)), based on DFT lattice parameters and positions (PBE).
Kinematic intensities with the Lorentz-polarization factor, no thermal factor.

Main lines, sorted by position (2θ from 10° to 80°):
2θ 10.65, d = 8.310 Å, rel. 33.5
2θ 13.70, d = 6.463 Å, rel. 38.4
2θ 15.75, d = 5.627 Å, rel. 53.2
2θ 17.10, d = 5.186 Å, rel. 100.0
2θ 20.30, d = 4.374 Å, rel. 73.3
2θ 21.86, d = 4.065 Å, rel. 37.0
2θ 25.61, d = 3.478 Å, rel. 46.2
2θ 31.50, d = 2.840 Å, rel. 44.9

Structure:
Unit cell a=9.790 b=9.790 c=11.081 alpha=101.40 beta=101.40 gamma=116.26
Fractional positions:
Sr (0.092, 0.908, 0.750)
Sr (0.908, 0.092, 0.250)
Sn (0.169, 0.361, 0.876)
Sn (0.361, 0.169, 0.376)
Sn (0.639, 0.831, 0.624)
Sn (0.831, 0.639, 0.124)
Cl (0.067, 0.715, 0.065)
Cl (0.136, 0.477, 0.707)
Cl (0.285, 0.933, 0.435)
Cl (0.373, 0.577, 0.054)
Cl (0.423, 0.627, 0.446)
Cl (0.477, 0.136, 0.207)
Cl (0.523, 0.864, 0.793)
Cl (0.577, 0.373, 0.554)
Cl (0.627, 0.423, 0.946)
Cl (0.715, 0.067, 0.565)
Cl (0.864, 0.523, 0.293)
Cl (0.933, 0.285, 0.935)
O (0.018, 0.069, 0.501)
O (0.069, 0.018, 0.001)
O (0.182, 0.194, 0.310)
O (0.194, 0.182, 0.810)
O (0.239, 0.761, 0.750)
O (0.761, 0.239, 0.250)
O (0.806, 0.818, 0.190)
O (0.818, 0.806, 0.690)
O (0.931, 0.982, 0.999)
O (0.982, 0.931, 0.499)

8.
ErCo9Si3: theoretical powder X-ray diffraction pattern (Cu Kα (λ = 1.5418 Å)), based on DFT lattice parameters and positions (PBE).
Kinematic intensities with the Lorentz-polarization factor, no thermal factor.

Main lines, sorted by position (2θ from 10° to 80°):
2θ 38.18, d = 2.357 Å, rel. 95.6
2θ 38.64, d = 2.330 Å, rel. 55.3
2θ 44.21, d = 2.049 Å, rel. 45.8
2θ 44.37, d = 2.042 Å, rel. 57.9
2θ 44.49, d = 2.036 Å, rel. 40.2
2θ 44.68, d = 2.028 Å, rel. 100.0
2θ 44.78, d = 2.024 Å, rel. 82.8
2θ 45.27, d = 2.003 Å, rel. 38.1

Structure:
Unit cell a=6.232 b=6.232 c=6.116 alpha=98.05 beta=98.05 gamma=135.51
Fractional positions:
Er (0.000, 0.000, 0.000)
Co (0.000, 0.000, 0.500)
Co (0.004, 0.649, 0.649)
Co (0.276, 0.504, 0.776)
Co (0.351, 0.996, 0.351)
Co (0.496, 0.724, 0.224)
Co (0.504, 0.276, 0.776)
Co (0.649, 0.004, 0.649)
Co (0.724, 0.496, 0.224)
Co (0.996, 0.351, 0.351)
Si (0.000, 0.500, 0.000)
Si (0.500, 0.000, 0.000)
Si (0.500, 0.500, 0.500)

9.
TbSmBiO2: theoretical powder X-ray diffraction pattern (Cu Kα (λ = 1.5418 Å)), based on DFT lattice parameters and positions (PBE).
Kinematic intensities with the Lorentz-polarization factor, no thermal factor.

Main lines, sorted by position (2θ from 10° to 80°):
2θ 29.89, d = 2.989 Å, rel. 100.0
2θ 32.12, d = 2.786 Å, rel. 36.1
2θ 39.27, d = 2.294 Å, rel. 10.7
2θ 46.07, d = 1.970 Å, rel. 17.3
2θ 51.60, d = 1.771 Å, rel. 24.7
2θ 55.89, d = 1.645 Å, rel. 35.1
2θ 62.10, d = 1.495 Å, rel. 11.6
2θ 65.46, d = 1.426 Å, rel. 10.9

Structure:
Unit cell a=7.425 b=7.425 c=7.425 alpha=149.22 beta=149.22 gamma=44.08
Fractional positions:
Tb (0.000, 0.000, 0.000)
Sm (0.665, 0.665, 0.000)
Bi (0.333, 0.333, 0.000)
O (0.079, 0.579, 0.500)
O (0.579, 0.079, 0.500)

10.
Sm4Y3Al4: theoretical powder X-ray diffraction pattern (Cu Kα (λ = 1.5418 Å)), based on DFT lattice parameters and positions (PBE).
Kinematic intensities with the Lorentz-polarization factor, no thermal factor.

Main lines, sorted by position (2θ from 10° to 80°):
2θ 10.15, d = 8.713 Å, rel. 40.9
2θ 23.00, d = 3.867 Å, rel. 96.7
2θ 28.39, d = 3.144 Å, rel. 43.9
2θ 30.92, d = 2.892 Å, rel. 60.0
2θ 32.09, d = 2.789 Å, rel. 100.0
2θ 34.62, d = 2.591 Å, rel. 61.2
2θ 35.32, d = 2.541 Å, rel. 69.4
2θ 41.12, d = 2.195 Å, rel. 32.8

Structure:
Unit cell a=9.695 b=9.695 c=9.695 alpha=149.00 beta=139.31 gamma=52.02
Fractional positions:
Sm (0.056, 0.821, 0.236)
Sm (0.415, 0.179, 0.236)
Sm (0.585, 0.821, 0.764)
Sm (0.944, 0.179, 0.764)
Y (0.000, 0.500, 0.500)
Y (0.403, 0.403, 0.000)
Y (0.597, 0.597, 0.000)
Al (0.169, 0.669, 0.500)
Al (0.297, 0.000, 0.297)
Al (0.703, 0.000, 0.703)
Al (0.831, 0.331, 0.500)

11.
SmPaRu2: theoretical powder X-ray diffraction pattern (Cu Kα (λ = 1.5418 Å)), based on DFT lattice parameters and positions (PBE).
Kinematic intensities with the Lorentz-polarization factor, no thermal factor.

Main lines, sorted by position (2θ from 10° to 80°):
2θ 30.37, d = 2.943 Å, rel. 51.0
2θ 31.17, d = 2.869 Å, rel. 100.0
2θ 31.77, d = 2.816 Å, rel. 49.9
2θ 32.90, d = 2.722 Å, rel. 64.3
2θ 33.75, d = 2.656 Å, rel. 52.5
2θ 38.19, d = 2.357 Å, rel. 31.3
2θ 39.37, d = 2.289 Å, rel. 46.2
2θ 44.22, d = 2.048 Å, rel. 41.0

Structure:
Unit cell a=5.968 b=5.632 c=11.019 alpha=90.00 beta=105.37 gamma=90.00
Fractional positions:
Sm (0.191, 0.180, 0.144)
Sm (0.191, 0.820, 0.644)
Sm (0.809, 0.180, 0.356)
Sm (0.809, 0.820, 0.856)
Pa (0.367, 0.325, 0.870)
Pa (0.367, 0.675, 0.370)
Pa (0.633, 0.325, 0.630)
Pa (0.633, 0.675, 0.130)
Ru (0.135, 0.322, 0.653)
Ru (0.135, 0.678, 0.153)
Ru (0.343, 0.194, 0.447)
Ru (0.343, 0.806, 0.947)
Ru (0.657, 0.194, 0.053)
Ru (0.657, 0.806, 0.553)
Ru (0.865, 0.322, 0.847)
Ru (0.865, 0.678, 0.347)

12.
NaGa3Cu: theoretical powder X-ray diffraction pattern (Cu Kα (λ = 1.5418 Å)), based on DFT lattice parameters and positions (PBE).
Kinematic intensities with the Lorentz-polarization factor, no thermal factor.

Main lines, sorted by position (2θ from 10° to 80°):
2θ 16.09, d = 5.508 Å, rel. 32.6
2θ 22.93, d = 3.878 Å, rel. 37.5
2θ 32.80, d = 2.730 Å, rel. 18.2
2θ 36.54, d = 2.459 Å, rel. 100.0
2θ 43.47, d = 2.082 Å, rel. 40.8
2θ 46.86, d = 1.939 Å, rel. 43.1
2θ 58.00, d = 1.590 Å, rel. 21.9
2θ 61.02, d = 1.518 Å, rel. 21.3

Structure:
Unit cell a=6.360 b=6.360 c=5.460 alpha=90.00 beta=90.00 gamma=120.00
Fractional positions:
Na (0.333, 0.667, 0.250)
Na (0.667, 0.333, 0.750)
Ga (0.190, 0.381, 0.750)
Ga (0.190, 0.810, 0.750)
Ga (0.381, 0.190, 0.250)
Ga (0.619, 0.810, 0.750)
Ga (0.810, 0.190, 0.250)
Ga (0.810, 0.619, 0.250)
Cu (0.000, 0.000, 0.000)
Cu (0.000, 0.000, 0.500)